For Sr3SnAs4, a structure optimized by DFT (PBE) gives the computed powder X-ray diffraction pattern in this record (Cu Ka).
Peak positions follow from Bragg's law for the DFT cell and can differ from measured ones.

Crystal structure
a = 8.668 Å, b = 10.882 Å, c = 10.112 Å
α = 90.00°, β = 90.00°, γ = 90.00°
Element x y z (fractional)
Sr1 0.052 0.055 0.190
Sr2 0.052 0.445 0.190
Sr3 0.156 0.750 0.409
Sr4 0.344 0.250 0.909
Sr5 0.448 0.555 0.690
Sr6 0.448 0.945 0.690
Sr7 0.552 0.055 0.310
Sr8 0.552 0.445 0.310
Sr9 0.656 0.750 0.091
Sr10 0.844 0.250 0.591
Sr11 0.948 0.555 0.810
Sr12 0.948 0.945 0.810
Sn1 0.235 0.250 0.458
Sn2 0.265 0.750 0.958
Sn3 0.735 0.250 0.042
Sn4 0.765 0.750 0.542
As1 0.021 0.750 0.111
As2 0.130 0.032 0.542
As3 0.130 0.468 0.542
As4 0.184 0.750 0.711
As5 0.316 0.250 0.211
As6 0.370 0.532 0.042
As7 0.370 0.968 0.042
As8 0.479 0.250 0.611
As9 0.521 0.750 0.389
As10 0.630 0.032 0.958
As11 0.630 0.468 0.958
As12 0.684 0.750 0.789
As13 0.816 0.250 0.289
As14 0.870 0.532 0.458
As15 0.870 0.968 0.458
As16 0.979 0.250 0.889

Principal peaks in the range 10° ≤ 2θ ≤ 90°, by angle:
two_theta	I_rel
26.15	553
26.29	428
32.20	1000
32.92	840
33.41	442
37.62	614